1.
This entry pairs a crystal structure of Ce3B2N4 with its computed powder diffractogram. Radiation: λ = 1.5418 Å (Cu Kα). Structure: a DFT-relaxed cell (PBE, the Materials Project).
Neutral-atom scattering factors, no anomalous dispersion.

Crystal structure
a = 3.514 Å, b = 6.219 Å, c = 10.564 Å
α = 90.00°, β = 90.00°, γ = 90.00°
Space group Immm (No. 71)
Asymmetric unit:
Ce  0.000  0.000  0.000 [2 per cell]
Ce  0.000  0.500  0.197 [4 per cell]
B  0.000  0.143  0.500 [4 per cell]
N  0.000  0.262  0.378 [8 per cell]

Main lines, in order of rising 2θ (2θ = 5–70°):
2θ = 28.7°, rel. 34
2θ = 29.1°, rel. 76
2θ = 33.9°, rel. 100
2θ = 39.6°, rel. 33
2θ = 50.4°, rel. 22
2θ = 54.2°, rel. 22

2.
This entry pairs a crystal structure of Ce2Ni21B6 with its computed powder diffractogram. Radiation: λ = 1.5418 Å (Cu Kα). Structure: a DFT-relaxed cell (PBE, the Materials Project).
Neutral-atom scattering factors, no anomalous dispersion.

Crystal structure
a = 10.686 Å, b = 10.686 Å, c = 10.686 Å
α = 90.00°, β = 90.00°, γ = 90.00°
Space group Fm-3m (No. 225)
Asymmetric unit:
Ce  0.250  0.250  0.250 [8 per cell]
Ni  0.000  0.000  0.000 [4 per cell]
Ni  0.000  0.169  0.169 [48 per cell]
Ni  0.113  0.113  0.387 [32 per cell]
B  0.000  0.000  0.268 [24 per cell]

Main lines, in order of rising 2θ (2θ = 5–70°):
2θ = 37.6°, rel. 60
2θ = 41.4°, rel. 55
2θ = 44.0°, rel. 100
2θ = 48.2°, rel. 30
2θ = 50.5°, rel. 25
2θ = 57.2°, rel. 16

3.
This entry pairs a crystal structure of CeNiB4 with its computed powder diffractogram. Radiation: λ = 1.5418 Å (Cu Kα). Structure: a DFT-relaxed cell (PBE, the Materials Project).
Neutral-atom scattering factors, no anomalous dispersion.

Crystal structure
a = 7.614 Å, b = 7.614 Å, c = 8.574 Å
α = 90.00°, β = 90.00°, γ = 90.00°
Space group I4/mmm (No. 139)
Asymmetric unit:
Ce  0.000  0.000  0.201 [4 per cell]
Ce  0.000  0.500  0.250 [4 per cell]
Ni  0.000  0.228  0.500 [8 per cell]
B  0.111  0.274  0.000 [16 per cell]
B  0.234  0.234  0.347 [16 per cell]

Main lines, in order of rising 2θ (2θ = 5–70°):
2θ = 23.4°, rel. 67
2θ = 28.2°, rel. 24
2θ = 31.4°, rel. 77
2θ = 33.5°, rel. 31
2θ = 39.5°, rel. 100
2θ = 47.8°, rel. 33

4.
This entry pairs a crystal structure of CeB3O6 with its computed powder diffractogram. Radiation: λ = 1.5418 Å (Cu Kα). Structure: a DFT-relaxed cell (PBE, the Materials Project).
Neutral-atom scattering factors, no anomalous dispersion.

Crystal structure
a = 9.983 Å, b = 8.198 Å, c = 6.534 Å
α = 90.00°, β = 127.28°, γ = 90.00°
Space group C2/c (No. 15)
Asymmetric unit:
Ce  0.000  0.202  0.250 [4 per cell]
B  0.000  0.222  0.750 [4 per cell]
B  0.227  0.432  0.082 [8 per cell]
O  0.102  0.314  0.990 [8 per cell]
O  0.105  0.114  0.714 [8 per cell]
O  0.202  0.414  0.499 [8 per cell]

Main lines, in order of rising 2θ (2θ = 5–70°):
2θ = 17.4°, rel. 100
2θ = 22.4°, rel. 42
2θ = 27.4°, rel. 52
2θ = 27.8°, rel. 47
2θ = 31.4°, rel. 59
2θ = 43.0°, rel. 63

5.
This entry pairs a crystal structure of CeB3O6 with its computed powder diffractogram. Radiation: λ = 1.5418 Å (Cu Kα). Structure: a DFT-relaxed cell (PBE, the Materials Project).
Neutral-atom scattering factors, no anomalous dispersion.

Crystal structure
a = 18.615 Å, b = 4.500 Å, c = 4.316 Å
α = 90.00°, β = 90.00°, γ = 90.00°
Space group Pca2_1 (No. 29)
Asymmetric unit:
Ce  0.159  0.198  0.000 [4 per cell]
B  0.002  0.823  0.956 [4 per cell]
B  0.073  0.675  0.481 [4 per cell]
B  0.213  0.646  0.500 [4 per cell]
O  0.016  0.871  0.312 [4 per cell]
O  0.061  0.362  0.406 [4 per cell]
O  0.068  0.733  0.815 [4 per cell]
O  0.144  0.768  0.371 [4 per cell]
O  0.209  0.323  0.493 [4 per cell]
O  0.224  0.754  0.820 [4 per cell]

Main lines, in order of rising 2θ (2θ = 5–70°):
2θ = 9.5°, rel. 43
2θ = 20.3°, rel. 51
2θ = 22.7°, rel. 50
2θ = 31.2°, rel. 50
2θ = 32.2°, rel. 100
2θ = 44.8°, rel. 43